# Ho6InSi2
Calculated PXRD pattern, Cu Ka. Input: a cell relaxed with PBE.

Structural model:
abc: 8.4731 8.4731 8.4731
angles: 112.13 110.99 105.37
Fractional positions:
Ho1 0.0369 0.2412 0.7957
Ho2 0.1851 0.2770 0.4621
Ho3 0.1851 0.7230 0.9082
Ho4 0.3203 0.0238 0.7035
Ho5 0.3203 0.6168 0.2965
Ho6 0.4455 0.2412 0.2043
Ho7 0.5545 0.7588 0.7957
Ho8 0.6797 0.3832 0.7035
Ho9 0.6797 0.9762 0.2965
Ho10 0.8149 0.2770 0.0918
Ho11 0.8149 0.7230 0.5379
Ho12 0.9631 0.7588 0.2043
In1 0.0000 0.0000 0.0000
In2 0.5000 0.5000 0.0000
Si1 0.1161 0.6161 0.5000
Si2 0.3675 0.0000 0.3675
Si3 0.6325 0.0000 0.6325
Si4 0.8839 0.3839 0.5000

Main lines, in order of falling intensity (2θ from 5° to 70°):
| two_theta | d [Å] | I_rel |
| --- | --- | --- |
| 31.76 | 2.817 | 100.0 |
| 34.95 | 2.567 | 40.5 |
| 34.35 | 2.610 | 33.2 |
| 33.63 | 2.665 | 27.4 |
| 29.82 | 2.996 | 22.2 |
| 27.66 | 3.225 | 21.2 |
| 38.05 | 2.365 | 20.0 |
| 59.55 | 1.552 | 18.6 |
| 29.23 | 3.055 | 17.8 |
| 25.60 | 3.479 | 13.7 |

# Sm6Ho8In
Calculated PXRD pattern, Cu Ka. Input: a cell relaxed with PBE.

Structural model:
abc: 9.3781 9.3781 6.3692
angles: 90.00 90.00 120.00
Fractional positions:
Sm1 0.0908 0.4500 0.3187
Sm2 0.3593 0.9092 0.3187
Sm3 0.4500 0.3593 0.6813
Sm4 0.5500 0.6407 0.3187
Sm5 0.6407 0.0908 0.6813
Sm6 0.9092 0.5500 0.6813
Ho1 0.0384 0.2643 0.8136
Ho2 0.2259 0.9616 0.8136
Ho3 0.2643 0.2259 0.1864
Ho4 0.3333 0.6667 0.8329
Ho5 0.6667 0.3333 0.1671
Ho6 0.7357 0.7741 0.8136
Ho7 0.7741 0.0384 0.1864
Ho8 0.9616 0.7357 0.1864
In1 0.0000 0.0000 0.5000

Main lines, in order of falling intensity (2θ from 5° to 70°):
| two_theta | d [Å] | I_rel |
| --- | --- | --- |
| 32.38 | 2.765 | 100.0 |
| 34.03 | 2.634 | 21.9 |
| 29.09 | 3.070 | 21.9 |
| 51.57 | 1.772 | 17.8 |
| 28.02 | 3.185 | 14.2 |
| 26.02 | 3.424 | 13.3 |
| 40.83 | 2.210 | 12.4 |
| 62.22 | 1.492 | 12.3 |
| 30.14 | 2.965 | 11.8 |
| 51.07 | 1.788 | 8.8 |

# Sm5HoIn6
Calculated PXRD pattern, Cu Ka. Input: a cell relaxed with PBE.

Structural model:
abc: 9.3503 9.3503 5.4007
angles: 106.72 106.72 120.24
Fractional positions:
Sm1 0.0000 0.0000 0.0000
Sm2 0.1657 0.8343 0.5000
Sm3 0.3307 0.6693 0.0000
Sm4 0.6693 0.3307 0.0000
Sm5 0.8343 0.1657 0.5000
Ho1 0.5000 0.5000 0.5000
In1 0.0894 0.4185 0.2539
In2 0.2574 0.2574 0.7571
In3 0.4185 0.0894 0.2539
In4 0.5815 0.9106 0.7461
In5 0.7426 0.7426 0.2429
In6 0.9106 0.5815 0.7461

Main lines, in order of falling intensity (2θ from 5° to 70°):
| two_theta | d [Å] | I_rel |
| --- | --- | --- |
| 33.18 | 2.700 | 100.0 |
| 33.27 | 2.693 | 49.6 |
| 59.27 | 1.559 | 27.7 |
| 59.39 | 1.556 | 22.9 |
| 47.61 | 1.910 | 18.0 |
| 47.83 | 1.902 | 8.9 |
| 69.61 | 1.351 | 5.7 |
| 69.70 | 1.349 | 5.6 |
| 69.86 | 1.346 | 5.6 |
| 59.53 | 1.553 | 4.6 |

# Sm4Ho5In2
Calculated PXRD pattern, Cu Ka. Input: a cell relaxed with PBE.

Structural model:
abc: 15.8752 15.8752 15.8752
angles: 19.00 19.00 19.00
Fractional positions:
Sm1 0.0729 0.0729 0.0729
Sm2 0.2259 0.2259 0.2259
Sm3 0.7741 0.7741 0.7741
Sm4 0.9271 0.9271 0.9271
Ho1 0.0000 0.0000 0.0000
Ho2 0.1483 0.1483 0.1483
Ho3 0.3029 0.3029 0.3029
Ho4 0.6971 0.6971 0.6971
Ho5 0.8517 0.8517 0.8517
In1 0.3782 0.3782 0.3782
In2 0.6218 0.6218 0.6218

Main lines, in order of falling intensity (2θ from 5° to 70°):
| two_theta | d [Å] | I_rel |
| --- | --- | --- |
| 31.75 | 2.819 | 100.0 |
| 34.22 | 2.620 | 96.3 |
| 47.37 | 1.919 | 32.9 |
| 59.72 | 1.548 | 32.9 |
| 5.67 | 15.584 | 30.9 |
| 33.31 | 2.690 | 28.1 |
| 19.65 | 4.518 | 22.1 |
| 64.51 | 1.445 | 18.3 |
| 61.27 | 1.513 | 18.0 |
| 54.92 | 1.672 | 12.3 |